Entry 1:
Diffraction record for Ba2NbInO6. The powder XRD pattern is simulated, not measured: it uses a crystal structure in the Materials Project, relaxed with PBE and a wavelength of 1.5418 Å.
Peak positions follow from Bragg's law for the DFT cell and can differ from measured ones.

Top 9 peaks for 2θ from 10° to 90°, low angle first:
30.0 deg, I = 100.0, (2 2 0); 37.0 deg, I = 4.3, (2 2 2); 43.0 deg, I = 30.6, (4 0 0); 53.3 deg, I = 39.8, (4 2 2); 62.4 deg, I = 18.9, (4 4 0); 70.8 deg, I = 17.4, (6 2 0); 74.8 deg, I = 1.2, (6 2 2); 78.7 deg, I = 6.2, (4 4 4); 86.5 deg, I = 21.0, (6 4 2)

Crystal structure
```
data_Ba2NbInO6
_space_group_name_H-M_alt 'F m -3 m'
_space_group_IT_number 225
_space_group_name_Hall '-F 4 2 3'
_cell_length_a 8.4203
_cell_length_b 8.4203
_cell_length_c 8.4203
_cell_angle_alpha 90.00
_cell_angle_beta 90.00
_cell_angle_gamma 90.00
loop_
_atom_site_label
_atom_site_fract_x
_atom_site_fract_y
_atom_site_fract_z
_atom_site_occupancy
Ba1 0.2500 0.2500 0.2500 1
Nb1 0.0000 0.0000 0.0000 1
In1 0.0000 0.0000 0.5000 1
O1 0.0000 0.0000 0.2401 1
```

Entry 2:
Diffraction record for BaNbInSnO6. The powder XRD pattern is simulated, not measured: it uses a crystal structure in the Materials Project, relaxed with PBE and a wavelength of 1.5418 Å.
Peak positions follow from Bragg's law for the DFT cell and can differ from measured ones.

Top 9 peaks for 2θ from 10° to 90°, low angle first:
30.3 deg, I = 100.0, (2 2 0); 37.3 deg, I = 3.9, (2 2 2); 43.3 deg, I = 31.1, (4 0 0); 53.8 deg, I = 40.3, (4 2 2); 63.0 deg, I = 19.2, (4 4 0); 71.5 deg, I = 17.8, (6 2 0); 75.5 deg, I = 1.1, (6 2 2); 79.5 deg, I = 6.4, (4 4 4); 87.4 deg, I = 21.8, (6 4 2)

Crystal structure
```
data_BaNbInSnO6
_space_group_name_H-M_alt 'F -4 3 m'
_space_group_IT_number 216
_space_group_name_Hall 'F -4 2 3'
_cell_length_a 8.3497
_cell_length_b 8.3497
_cell_length_c 8.3497
_cell_angle_alpha 90.00
_cell_angle_beta 90.00
_cell_angle_gamma 90.00
loop_
_atom_site_label
_atom_site_fract_x
_atom_site_fract_y
_atom_site_fract_z
_atom_site_occupancy
Ba1 0.0000 0.0000 0.0000 1
Nb1 0.2500 0.2500 0.2500 1
In1 0.2500 0.2500 0.7500 1
Sn1 0.0000 0.0000 0.5000 1
O1 0.0090 0.2500 0.2500 1
```

Entry 3:
Diffraction record for BaZrNbInO6. The powder XRD pattern is simulated, not measured: it uses a crystal structure in the Materials Project, relaxed with PBE and a wavelength of 1.5418 Å.
Peak positions follow from Bragg's law for the DFT cell and can differ from measured ones.

Top 9 peaks for 2θ from 10° to 90°, low angle first:
30.2 deg, I = 100.0, (2 2 0); 37.3 deg, I = 5.8, (2 2 2); 43.3 deg, I = 31.8, (4 0 0); 53.7 deg, I = 39.5, (4 2 2); 62.9 deg, I = 19.4, (4 4 0); 71.3 deg, I = 17.0, (6 2 0); 75.4 deg, I = 1.6, (6 2 2); 79.4 deg, I = 6.3, (4 4 4); 87.3 deg, I = 20.6, (6 4 2)

Crystal structure
```
data_BaZrNbInO6
_space_group_name_H-M_alt 'F -4 3 m'
_space_group_IT_number 216
_space_group_name_Hall 'F -4 2 3'
_cell_length_a 8.3613
_cell_length_b 8.3613
_cell_length_c 8.3613
_cell_angle_alpha 90.00
_cell_angle_beta 90.00
_cell_angle_gamma 90.00
loop_
_atom_site_label
_atom_site_fract_x
_atom_site_fract_y
_atom_site_fract_z
_atom_site_occupancy
Ba1 0.0000 0.0000 0.0000 1
Zr1 0.2500 0.2500 0.2500 1
Nb1 0.2500 0.2500 0.7500 1
In1 0.0000 0.0000 0.5000 1
O1 0.0064 0.2500 0.7500 1
```

Entry 4:
Diffraction record for BaNdInO4. The powder XRD pattern is simulated, not measured: it uses a crystal structure in the Materials Project, relaxed with PBE and a wavelength of 1.5418 Å.
Peak positions follow from Bragg's law for the DFT cell and can differ from measured ones.

Top 10 peaks for 2θ from 10° to 90°, low angle first:
24.6 deg, I = 9.1, (2 1 0); 29.1 deg, I = 37.9, (0 2 0); 29.8 deg, I = 100.0, (2 1 -2); 29.9 deg, I = 69.1, (1 1 2); 42.2 deg, I = 30.9, (3 2 0); 43.2 deg, I = 19.7, (1 0 -4); 52.1 deg, I = 32.3, (2 3 -2); 53.0 deg, I = 21.1, (1 2 -4); 61.9 deg, I = 11.5, (4 2 -4); 83.8 deg, I = 8.1, (2 5 -2)

Crystal structure
```
data_BaNdInO4
_space_group_name_H-M_alt 'P 1 21/c 1'
_space_group_IT_number 14
_space_group_name_Hall '-P 2ybc'
_cell_length_a 9.2368
_cell_length_b 6.1282
_cell_length_c 8.3685
_cell_angle_alpha 90.00
_cell_angle_beta 103.40
_cell_angle_gamma 90.00
loop_
_atom_site_label
_atom_site_fract_x
_atom_site_fract_y
_atom_site_fract_z
_atom_site_occupancy
Ba1 0.1466 0.2483 0.0312 1
Nd1 0.4527 0.7460 0.6068 1
In1 0.1690 0.7443 0.2935 1
O1 0.0123 0.0111 0.2285 1
O2 0.1841 0.6948 0.0475 1
O3 0.3523 0.0061 0.8740 1
O4 0.3878 0.5438 0.8300 1
```

Entry 5:
Diffraction record for Ba8In6O17. The powder XRD pattern is simulated, not measured: it uses a crystal structure in the Materials Project, relaxed with PBE and a wavelength of 1.5418 Å.
Peak positions follow from Bragg's law for the DFT cell and can differ from measured ones.

Top 10 peaks for 2θ from 10° to 90°, low angle first:
28.6 deg, I = 29.5, (0 2 -1); 28.8 deg, I = 29.0, (2 0 0); 29.3 deg, I = 100.0, (-1 1 3); 41.1 deg, I = 28.6, (2 2 -1); 42.7 deg, I = 11.4, (0 0 7); 51.1 deg, I = 21.4, (1 3 2); 51.3 deg, I = 19.8, (3 1 -4); 52.2 deg, I = 9.1, (0 2 -8); 52.3 deg, I = 9.0, (2 0 -7); 60.7 deg, I = 13.3, (2 2 -8)

Crystal structure
```
data_Ba8In6O17
_space_group_name_H-M_alt 'P -1'
_space_group_IT_number 2
_space_group_name_Hall '-P 1'
_cell_length_a 6.1997
_cell_length_b 6.2375
_cell_length_c 15.1514
_cell_angle_alpha 101.85
_cell_angle_beta 90.02
_cell_angle_gamma 90.04
loop_
_atom_site_label
_atom_site_fract_x
_atom_site_fract_y
_atom_site_fract_z
_atom_site_occupancy
Ba1 0.2318 0.4466 0.4111 1
Ba2 0.2333 0.0358 0.5895 1
Ba3 0.2572 0.3281 0.1372 1
Ba4 0.2578 0.1915 0.8636 1
In1 0.2340 0.7653 0.9999 1
In2 0.2752 0.8692 0.2814 1
In3 0.2777 0.5863 0.7187 1
O1 0.0000 0.0000 0.0000 1
O2 0.0000 0.5000 0.0000 1
O3 0.0047 0.3543 0.7215 1
O4 0.1960 0.6121 0.5851 1
O5 0.1971 0.0272 0.4155 1
O6 0.3051 0.6178 0.8633 1
O7 0.3069 0.7519 0.1360 1
O8 0.4973 0.6590 0.3201 1
O9 0.4985 0.1327 0.2652 1
O10 0.5000 0.0000 0.0000 1
```